1.
Li3Mn4B4O12: calculated X-ray diffraction stick pattern (Cu Kα, 1.54184 Å), based on a DFT-relaxed cell (PBE+U, the Materials Project).

Principal peaks in the range 10° ≤ 2θ ≤ 90°, by angle:
| 2θ (°) | I_rel | (hkl) |
| --- | --- | --- |
| 20.18 | 785 | 0 1 2 |
| 21.94 | 427 | 1 0 2 |
| 22.77 | 618 | 0 2 0 |
| 33.94 | 546 | -1 2 2 |
| 34.23 | 1000 | 2 2 0 |
| 40.56 | 302 | 2 -2 0 |

Structural model:
Cell: 6.172 7.927 10.476 Å, 88.05 87.27 80.26°
Space group P-1 (No. 2)
Asymmetric unit:
Li  0.020  0.140  0.217
Li  0.465  0.347  0.543
Li  0.467  0.347  0.046
Mn  0.228  0.521  0.299
Mn  0.252  0.008  0.944
Mn  0.252  0.997  0.453
Mn  0.254  0.491  0.799
B  0.094  0.669  0.043
B  0.100  0.670  0.556
B  0.407  0.840  0.201
B  0.425  0.824  0.700
O  0.011  0.819  0.975
O  0.013  0.643  0.166
O  0.018  0.640  0.679
O  0.032  0.829  0.498
O  0.255  0.547  0.497
O  0.261  0.549  0.991
O  0.266  0.942  0.755
O  0.271  0.973  0.257
O  0.477  0.686  0.271
O  0.479  0.848  0.072
O  0.496  0.332  0.239
O  0.497  0.850  0.570

2.
Mg11AlFeSi11O36: calculated X-ray diffraction stick pattern (Cu Kα, 1.54184 Å), based on a DFT-relaxed cell (PBE+U, the Materials Project).

Principal peaks in the range 10° ≤ 2θ ≤ 90°, by angle:
| 2θ (°) | I_rel | (hkl) |
| --- | --- | --- |
| 35.88 | 236 | 2 0 0 |
| 36.41 | 1000 | 1 2 3 |
| 43.03 | 205 | 0 3 -3 |
| 52.26 | 322 | 0 4 0 |
| 52.62 | 520 | 2 0 6 |
| 66.50 | 422 | 1 2 9 |

Structural model:
Cell: 5.005 7.002 14.516 Å, 90.00 90.09 90.10°
Space group P1 (No. 1)
Asymmetric unit:
Mg  0.000  0.000  0.000
Mg  0.000  0.001  0.669
Mg  0.117  0.502  0.658
Mg  0.118  0.496  0.325
Mg  0.118  0.500  0.989
Mg  0.499  0.003  0.491
Mg  0.500  0.000  0.824
Mg  0.503  0.004  0.157
Mg  0.615  0.499  0.501
Mg  0.616  0.498  0.165
Mg  0.617  0.501  0.834
Al  0.558  0.254  0.328
Fe  0.992  0.007  0.334
Si  0.055  0.249  0.498
Si  0.057  0.752  0.497
Si  0.059  0.251  0.829
Si  0.059  0.751  0.829
Si  0.061  0.746  0.162
Si  0.065  0.256  0.161
Si  0.558  0.251  0.663
Si  0.559  0.250  0.995
Si  0.559  0.747  0.327
Si  0.559  0.751  0.662
Si  0.559  0.751  0.996
O  0.022  0.502  0.125
O  0.023  0.504  0.462
O  0.025  0.501  0.795
O  0.093  0.001  0.863
O  0.093  0.997  0.199
O  0.095  0.999  0.533
O  0.245  0.197  0.397
O  0.254  0.813  0.394
O  0.259  0.195  0.059
O  0.259  0.804  0.727
O  0.260  0.198  0.728
O  0.260  0.805  0.061
O  0.357  0.304  0.561
O  0.358  0.304  0.894
O  0.358  0.694  0.226
O  0.358  0.698  0.894
O  0.359  0.302  0.221
O  0.360  0.698  0.560
O  0.521  0.513  0.365
O  0.524  0.501  0.029
O  0.524  0.501  0.697
O  0.593  0.000  0.961
O  0.593  0.001  0.628
O  0.599  0.989  0.293
O  0.759  0.197  0.764
O  0.760  0.804  0.097
O  0.760  0.804  0.764
O  0.763  0.197  0.096
O  0.764  0.195  0.434
O  0.765  0.812  0.429
O  0.856  0.697  0.597
O  0.858  0.304  0.929
O  0.858  0.305  0.598
O  0.858  0.698  0.930
O  0.863  0.692  0.263
O  0.875  0.298  0.261

3.
Li9Mn2Co5O16: calculated X-ray diffraction stick pattern (Cu Kα, 1.54184 Å), based on a DFT-relaxed cell (PBE+U, the Materials Project).

Principal peaks in the range 10° ≤ 2θ ≤ 90°, by angle:
| 2θ (°) | I_rel | (hkl) |
| --- | --- | --- |
| 18.41 | 1000 | 0 1 -2 |
| 34.49 | 187 | -1 1 2 |
| 36.81 | 228 | 1 1 2 |
| 41.39 | 333 | 1 0 -4 |
| 44.70 | 256 | 1 0 4 |
| 44.88 | 249 | 0 4 0 |

Structural model:
Cell: 2.975 8.080 11.931 Å, 90.66 94.18 91.02°
Space group P1 (No. 1)
Asymmetric unit:
Li  0.000  0.000  0.000
Li  0.000  0.493  0.749
Li  0.003  0.002  0.744
Li  0.489  0.756  0.875
Li  0.495  0.238  0.628
Li  0.498  0.244  0.126
Li  0.500  0.749  0.372
Li  0.989  0.002  0.506
Li  0.995  0.496  0.251
Mn  0.494  0.755  0.628
Mn  0.999  0.497  0.000
Co  0.494  0.247  0.375
Co  0.494  0.749  0.126
Co  0.503  0.235  0.869
Co  0.985  0.495  0.501
Co  0.995  0.998  0.251
O  0.018  0.747  0.735
O  0.022  0.248  0.760
O  0.023  0.236  0.256
O  0.023  0.740  0.004
O  0.465  0.507  0.616
O  0.469  0.009  0.368
O  0.470  0.510  0.123
O  0.491  0.021  0.878
O  0.502  0.980  0.622
O  0.521  0.487  0.382
O  0.522  0.480  0.878
O  0.522  0.985  0.132
O  0.969  0.736  0.514
O  0.971  0.759  0.245
O  0.972  0.258  0.492
O  0.973  0.256  0.995